Computed powder diffraction line list of CeNi2H8 for Cu Kα (λ = 1.5418 Å), from a GGA-PBE-relaxed structure.
Peak positions follow from Bragg's law for the DFT cell and can differ from measured ones.

Crystal structure
a = 4.5021 Å, b = 4.5021 Å, c = 4.1651 Å
α = 90.00°, β = 90.00°, γ = 117.52°
Fractional positions:
Ce 0.0000 0.0000 0.0000
Ni 0.3287 0.6713 0.5000
Ni 0.6713 0.3287 0.5000
H 0.0214 0.2947 0.5000
H 0.2947 0.0214 0.5000
H 0.3174 0.6826 0.0000
H 0.5000 0.5000 0.2584
H 0.5000 0.5000 0.7416
H 0.6826 0.3174 0.0000
H 0.7053 0.9786 0.5000
H 0.9786 0.7053 0.5000

The 8 most intense peaks (2θ = 10–90°), by angle:
2θ/deg, Rel. int.
22.3, 16
31.0, 100
31.7, 53
38.6, 26
40.1, 45
43.5, 19
50.7, 28
60.6, 27

***

Computed powder diffraction line list of YThAsS for Cu Kα (λ = 1.5418 Å), from a GGA-PBE-relaxed structure.
Peak positions follow from Bragg's law for the DFT cell and can differ from measured ones.

Crystal structure
a = 4.0705 Å, b = 4.0705 Å, c = 5.8619 Å
α = 90.00°, β = 90.00°, γ = 90.00°
Fractional positions:
Y 0.0000 0.0000 0.0000
Th 0.5000 0.5000 0.5000
As 0.5000 0.5000 0.0000
S 0.0000 0.0000 0.5000

The 8 most intense peaks (2θ = 10–90°), by angle:
2θ/deg, Rel. int.
21.8, 39
26.7, 66
30.5, 53
31.1, 100
44.1, 76
44.5, 37
54.9, 40
81.7, 25

***

Computed powder diffraction line list of Pm6Tm8Sc for Cu Kα (λ = 1.5418 Å), from a GGA-PBE-relaxed structure.
Peak positions follow from Bragg's law for the DFT cell and can differ from measured ones.

Crystal structure
a = 8.6012 Å, b = 8.6012 Å, c = 8.6012 Å
α = 62.99°, β = 62.99°, γ = 62.99°
Fractional positions:
Pm 0.0417 0.6049 0.7230
Pm 0.2770 0.9583 0.3951
Pm 0.3951 0.2770 0.9583
Pm 0.6049 0.7230 0.0417
Pm 0.7230 0.0417 0.6049
Pm 0.9583 0.3951 0.2770
Tm 0.0768 0.0768 0.0768
Tm 0.2184 0.6109 0.2498
Tm 0.2498 0.2184 0.6109
Tm 0.3891 0.7502 0.7816
Tm 0.6109 0.2498 0.2184
Tm 0.7502 0.7816 0.3891
Tm 0.7816 0.3891 0.7502
Tm 0.9232 0.9232 0.9232
Sc 0.5000 0.5000 0.5000

The 8 most intense peaks (2θ = 10–90°), by angle:
2θ/deg, Rel. int.
30.7, 27
31.6, 100
32.6, 29
32.8, 12
37.0, 16
53.4, 13
54.4, 12
60.7, 12

***

Computed powder diffraction line list of Mg3Al3Pt2 for Cu Kα (λ = 1.5418 Å), from a GGA-PBE-relaxed structure.
Peak positions follow from Bragg's law for the DFT cell and can differ from measured ones.

Crystal structure
a = 7.3244 Å, b = 15.3504 Å, c = 5.2955 Å
α = 90.00°, β = 90.00°, γ = 90.00°
Fractional positions:
Mg 0.0213 0.1202 0.0920
Mg 0.0213 0.3798 0.0920
Mg 0.1690 0.2500 0.6362
Mg 0.3310 0.7500 0.1362
Mg 0.4787 0.6202 0.5920
Mg 0.4787 0.8798 0.5920
Mg 0.5213 0.1202 0.4080
Mg 0.5213 0.3798 0.4080
Mg 0.6690 0.2500 0.8638
Mg 0.8310 0.7500 0.3638
Mg 0.9787 0.6202 0.9080
Mg 0.9787 0.8798 0.9080
Al 0.1713 0.0320 0.6058
Al 0.1713 0.4680 0.6058
Al 0.1744 0.7500 0.6390
Al 0.3256 0.2500 0.1390
Al 0.3287 0.5320 0.1058
Al 0.3287 0.9680 0.1058
Al 0.6713 0.0320 0.8942
Al 0.6713 0.4680 0.8942
Al 0.6744 0.7500 0.8610
Al 0.8256 0.2500 0.3610
Al 0.8287 0.5320 0.3942
Al 0.8287 0.9680 0.3942
Pt 0.1257 0.6129 0.3989
Pt 0.1257 0.8871 0.3989
Pt 0.3743 0.1129 0.8989
Pt 0.3743 0.3871 0.8989
Pt 0.6257 0.6129 0.1011
Pt 0.6257 0.8871 0.1011
Pt 0.8743 0.1129 0.6011
Pt 0.8743 0.3871 0.6011

The 8 most intense peaks (2θ = 10–90°), by angle:
2θ/deg, Rel. int.
20.7, 100
21.5, 80
23.2, 90
25.0, 76
27.1, 66
30.0, 75
38.0, 76
43.3, 69

***

Computed powder diffraction line list of HfPaRh4 for Cu Kα (λ = 1.5418 Å), from a GGA-PBE-relaxed structure.
Peak positions follow from Bragg's law for the DFT cell and can differ from measured ones.

Crystal structure
a = 13.6480 Å, b = 13.6480 Å, c = 4.0022 Å
α = 90.00°, β = 90.00°, γ = 162.65°
Fractional positions:
Hf 0.0635 0.9365 0.0000
Hf 0.9365 0.0635 0.0000
Pa 0.3027 0.6973 0.5000
Pa 0.6973 0.3027 0.5000
Rh 0.0000 0.0000 0.5000
Rh 0.1318 0.8682 0.5000
Rh 0.2105 0.7895 0.0000
Rh 0.3704 0.6296 0.0000
Rh 0.5000 0.5000 0.0000
Rh 0.6296 0.3704 0.0000
Rh 0.7895 0.2105 0.0000
Rh 0.8682 0.1318 0.5000

The 8 most intense peaks (2θ = 10–90°), by angle:
2θ/deg, Rel. int.
23.2, 16
35.4, 18
39.1, 100
44.0, 23
45.3, 21
65.0, 15
77.6, 13
79.5, 13

***

Computed powder diffraction line list of LaHo3Pt8 for Cu Kα (λ = 1.5418 Å), from a GGA-PBE-relaxed structure.
Peak positions follow from Bragg's law for the DFT cell and can differ from measured ones.

Crystal structure
a = 5.4725 Å, b = 5.4725 Å, c = 8.9398 Å
α = 90.00°, β = 90.00°, γ = 120.00°
Fractional positions:
La 0.0000 0.0000 0.0000
Ho 0.0000 0.0000 0.3742
Ho 0.6667 0.3333 0.4933
Ho 0.6667 0.3333 0.8575
Pt 0.1648 0.3296 0.6785
Pt 0.1648 0.8352 0.6785
Pt 0.3333 0.6667 0.4304
Pt 0.3333 0.6667 0.9311
Pt 0.5028 0.0056 0.1854
Pt 0.5028 0.4972 0.1854
Pt 0.6704 0.8352 0.6785
Pt 0.9944 0.4972 0.1854

The 8 most intense peaks (2θ = 10–90°), by angle:
2θ/deg, Rel. int.
35.6, 64
38.6, 100
39.3, 98
43.2, 29
60.3, 26
62.3, 29
65.4, 33
68.6, 31